1.
For RbZn2BBr2O3, DFT lattice parameters and positions (GGA-PBE) gives the simulated PXRD pattern in this record (Cu Kα (λ = 1.5418 Å)).
Peak positions follow from Bragg's law for the DFT cell and can differ from measured ones.

Structural model:
```
data_RbZn2BBr2O3
_cell_length_a 5.0156
_cell_length_b 5.0156
_cell_length_c 28.7504
_cell_angle_alpha 90.00
_cell_angle_beta 90.00
_cell_angle_gamma 120.00
_space_group_name_H-M_alt 'R 3 2'
_space_group_IT_number 155
_space_group_name_Hall 'R 3 2"'
loop_
_atom_site_label
_atom_site_type_symbol
_atom_site_fract_x
_atom_site_fract_y
_atom_site_fract_z
Rb1 Rb 0.0000 0.0000 0.0000
Zn1 Zn 0.0000 0.0000 0.1919
B1 B 0.0000 0.0000 0.5000
Br1 Br 0.0000 0.0000 0.2750
O1 O 0.0000 0.2752 0.5000
```

Largest 6 diffraction maxima, in order of rising 2θ, 10 to 90 degrees two-theta:
d (Å), Position (°2θ), Rel. int., hkl
4.158, 21.37, 47, 0 1 2
3.718, 23.94, 100, 1 0 4
2.508, 35.81, 77, 1 1 0
2.397, 37.51, 25, 1 0 10
2.240, 40.27, 43, 0 1 11
1.523, 60.81, 27, 1 1 15

***

2.
For BaZn4Sn3, DFT lattice parameters and positions (GGA-PBE) gives the simulated PXRD pattern in this record (Cu Kα (λ = 1.5418 Å)).
Peak positions follow from Bragg's law for the DFT cell and can differ from measured ones.

Structural model:
```
data_BaZn4Sn3
_cell_length_a 4.9191
_cell_length_b 4.9191
_cell_length_c 8.1958
_cell_angle_alpha 90.00
_cell_angle_beta 90.00
_cell_angle_gamma 90.00
_space_group_name_H-M_alt 'P 4/m m m'
_space_group_IT_number 123
_space_group_name_Hall '-P 4 2'
loop_
_atom_site_label
_atom_site_type_symbol
_atom_site_fract_x
_atom_site_fract_y
_atom_site_fract_z
Ba1 Ba 0.0000 0.0000 0.0000
Zn1 Zn 0.0000 0.5000 0.3309
Sn1 Sn 0.0000 0.0000 0.5000
Sn2 Sn 0.5000 0.5000 0.1763
```

Largest 6 diffraction maxima, in order of rising 2θ, 10 to 90 degrees two-theta:
d (Å), Position (°2θ), Rel. int., hkl
3.202, 27.86, 44, 1 1 1
3.149, 28.35, 100, 1 0 2
2.460, 36.53, 99, 2 0 0
2.148, 42.06, 58, 1 1 3
1.938, 46.87, 51, 2 1 2
1.739, 52.63, 34, 2 2 0